BeNb2Al: computed powder diffraction line list (Cu Ka), based on a cell relaxed with GGA-PBE.
Neutral-atom scattering factors, no anomalous dispersion.

Principal peaks in the range 10° ≤ 2θ ≤ 90°, most intense first:
Position (°2θ), I_rel
33.70, 100
42.00, 71
41.18, 65
22.97, 44
37.66, 39
43.40, 38
36.30, 37
25.61, 34
68.98, 25
63.68, 25

Atomic structure:
```
8
Lattice="3.8715 -3.1538 0.0000 3.8715 3.1538 0.0000 0.0000 0.0000 4.9496" Properties=species:S:1:pos:R:3 pbc="T T T"
Be 3.8715 1.9999 3.7122
Be 3.8715 -1.9999 1.2374
Nb 1.4568 0.9279 3.7122
Nb 1.4568 -0.9279 1.2374
Nb 6.2862 0.9279 3.7122
Nb 6.2862 -0.9279 1.2374
Al 3.8715 0.0000 0.0000
Al 3.8715 0.0000 2.4748
```



Be2Al5Ni12: computed powder diffraction line list (Cu Ka), based on a cell relaxed with GGA-PBE.
Neutral-atom scattering factors, no anomalous dispersion.

Principal peaks in the range 10° ≤ 2θ ≤ 90°, most intense first:
Position (°2θ), I_rel
42.58, 100
43.34, 99
42.90, 97
45.97, 72
46.35, 62
50.72, 58
33.43, 47
52.48, 36
30.67, 36
49.70, 35

Atomic structure:
```
19
Lattice="5.3658 -3.4850 0.0000 5.3658 3.4850 0.0000 -0.2529 0.0000 5.8259" Properties=species:S:1:pos:R:3 pbc="T T T"
Be 5.3658 1.8797 0.0000
Be 5.3658 -1.8797 0.0000
Al 1.7605 0.0000 5.5603
Al 2.6015 0.0000 2.4549
Al 5.2393 0.0000 2.9129
Al 7.8772 0.0000 3.3709
Al 8.7182 0.0000 0.2655
Ni 0.4389 0.0000 1.5104
Ni 4.1000 2.0305 2.1457
Ni 3.5373 1.2746 4.4200
Ni 6.3786 2.0305 3.6802
Ni 4.3211 0.0000 0.6663
Ni 6.9413 1.2746 1.4059
Ni 3.5373 -1.2746 4.4200
Ni 6.1575 0.0000 5.1595
Ni 4.1000 -2.0305 2.1457
Ni 6.9413 -1.2746 1.4059
Ni 6.3786 -2.0305 3.6802
Ni 10.0398 0.0000 4.3155
```



BeAlO3: computed powder diffraction line list (Cu Ka), based on a cell relaxed with GGA-PBE.
Neutral-atom scattering factors, no anomalous dispersion.

Principal peaks in the range 10° ≤ 2θ ≤ 90°, most intense first:
Position (°2θ), I_rel
43.55, 100
34.98, 64
25.65, 54
57.30, 47
68.97, 38
66.92, 18
52.72, 18
60.58, 12
46.55, 12
76.55, 11

Atomic structure:
```
10
Lattice="2.3584 1.3616 4.3952 -2.3584 1.3616 4.3952 0.0000 -2.7233 4.3952" Properties=species:S:1:pos:R:3 pbc="T T T"
Be 0.0000 0.0000 3.2964
Be 0.0000 0.0000 9.8892
Al 0.0000 0.0000 0.0000
Al 0.0000 0.0000 6.5928
O -1.5771 -0.0083 5.4940
O -0.7814 -1.3699 7.6916
O 0.7957 -1.3616 5.4940
O -0.7957 1.3616 7.6916
O 0.7814 1.3699 5.4940
O 1.5771 0.0083 7.6916
```



Rb2BeAlO4: computed powder diffraction line list (Cu Ka), based on a cell relaxed with GGA-PBE.
Neutral-atom scattering factors, no anomalous dispersion.

Principal peaks in the range 10° ≤ 2θ ≤ 90°, most intense first:
Position (°2θ), I_rel
29.29, 100
32.72, 72
24.35, 68
36.87, 51
21.30, 40
30.62, 35
30.46, 31
57.35, 28
42.51, 26
47.23, 25

Atomic structure:
```
16
Lattice="0.0000 5.8385 10.7284 2.2832 0.0000 10.7284 2.2832 5.8385 0.0000" Properties=species:S:1:pos:R:3 pbc="T T T"
Rb 1.7124 4.3789 1.0247
Rb 2.8540 7.2982 6.3889
Rb 1.7124 4.3789 15.0679
Rb 2.8540 7.2982 20.4321
Be 1.7124 4.3789 8.0463
Be 2.8540 7.2982 13.4105
Al 0.5708 1.4596 2.6821
Al 3.9957 10.2174 18.7747
O 2.7788 3.4562 7.1530
O 2.7788 5.3016 8.9396
O 3.9205 6.3754 14.3038
O 3.9205 8.2209 12.5172
O 0.6460 3.4562 8.9396
O 0.6460 5.3016 7.1530
O 1.7876 6.3754 12.5172
O 1.7876 8.2209 14.3038
```



Be3Al2Si6O18: computed powder diffraction line list (Cu Ka), based on a cell relaxed with GGA-PBE.
Neutral-atom scattering factors, no anomalous dispersion.

Principal peaks in the range 10° ≤ 2θ ≤ 90°, most intense first:
Position (°2θ), I_rel
10.98, 100
30.91, 60
27.15, 58
19.13, 28
22.10, 25
29.36, 15
35.26, 15
52.07, 13
60.59, 11
55.99, 10

Atomic structure:
```
58
Lattice="9.3032 0.0000 0.0000 -4.6516 8.0568 0.0000 0.0000 0.0000 9.2753" Properties=species:S:1:pos:R:3 pbc="T T T"
Be -2.3258 4.0284 2.3188
Be -2.3258 4.0284 6.9565
Be 4.6516 0.0000 2.3188
Be 4.6516 0.0000 6.9565
Be 2.3258 4.0284 2.3188
Be 2.3258 4.0284 6.9565
Al 0.0000 5.3712 2.3188
Al 0.0000 5.3712 6.9565
Al 4.6516 2.6856 2.3188
Al 4.6516 2.6856 6.9565
Si -0.7307 3.1206 0.0000
Si -2.3145 5.8637 4.6377
Si 0.7307 3.1206 4.6377
Si -1.5837 7.1294 0.0000
Si 3.0679 0.9275 4.6377
Si 2.3372 2.1931 0.0000
Si 2.3145 5.8637 0.0000
Si 1.5837 7.1294 4.6377
Si 6.2353 0.9275 0.0000
Si 3.9209 4.9362 4.6377
Si 6.9661 2.1931 4.6377
Si 5.3824 4.9362 0.0000
O -0.7524 2.4935 4.6377
O -2.8684 6.1585 0.0000
O -0.9720 4.0160 1.3524
O -0.9720 4.0160 7.9229
O -1.6597 5.2071 3.2852
O -1.6597 5.2071 5.9901
O 0.7524 2.4935 0.0000
O -2.1160 7.4617 4.6377
O 2.5356 0.5952 0.0000
O 1.7832 1.8983 4.6377
O 0.9720 4.0160 3.2852
O 0.9720 4.0160 5.9901
O -0.6877 6.8906 1.3524
O -0.6877 6.8906 7.9229
O 3.9639 1.1662 3.2852
O 3.9639 1.1662 5.9901
O 2.9919 2.8497 1.3524
O 2.9919 2.8497 7.9229
O 1.6597 5.2071 1.3524
O 1.6597 5.2071 7.9229
O 0.6877 6.8906 3.2852
O 0.6877 6.8906 5.9901
O 5.3393 1.1662 1.3524
O 5.3393 1.1662 7.9229
O 3.6796 4.0409 3.2852
O 3.6796 4.0409 5.9901
O 2.8684 6.1585 4.6377
O 2.1160 7.4617 0.0000
O 6.7676 0.5952 4.6377
O 3.8992 5.5633 0.0000
O 6.3113 2.8497 3.2852
O 6.3113 2.8497 5.9901
O 5.6236 4.0409 1.3524
O 5.6236 4.0409 7.9229
O 7.5200 1.8983 0.0000
O 5.4040 5.5633 4.6377
```



Be6AlOs: computed powder diffraction line list (Cu Ka), based on a cell relaxed with GGA-PBE.
Neutral-atom scattering factors, no anomalous dispersion.

Principal peaks in the range 10° ≤ 2θ ≤ 90°, most intense first:
Position (°2θ), I_rel
28.99, 100
20.39, 74
51.38, 52
46.62, 36
82.93, 27
41.46, 24
35.70, 24
68.06, 18
64.14, 17
60.07, 13

Atomic structure:
```
8
Lattice="4.3561 0.0000 0.0000 0.0000 4.3561 0.0000 0.0000 0.0000 4.3561" Properties=species:S:1:pos:R:3 pbc="T T T"
Be 0.0000 1.1395 2.1780
Be 0.0000 3.2166 2.1780
Be 1.1395 2.1780 0.0000
Be 2.1780 0.0000 1.1395
Be 2.1780 0.0000 3.2166
Be 3.2166 2.1780 0.0000
Al 0.0000 0.0000 0.0000
Os 2.1780 2.1780 2.1780
```



PrBeAl2Os2: computed powder diffraction line list (Cu Ka), based on a cell relaxed with GGA-PBE.
Neutral-atom scattering factors, no anomalous dispersion.

Principal peaks in the range 10° ≤ 2θ ≤ 90°, most intense first:
Position (°2θ), I_rel
33.34, 100
41.55, 35
16.02, 32
70.60, 23
32.36, 23
53.62, 22
58.35, 20
44.04, 14
26.07, 13
88.76, 13

Atomic structure:
```
6
Lattice="4.3473 0.0000 0.0000 0.0000 4.3473 0.0000 0.0000 0.0000 5.5328" Properties=species:S:1:pos:R:3 pbc="T T T"
Pr 0.0000 0.0000 0.0000
Be 0.0000 0.0000 2.7664
Al 2.1737 2.1737 1.3830
Al 2.1737 2.1737 4.1498
Os 0.0000 2.1737 2.7664
Os 2.1737 0.0000 2.7664
```



BeAlP: computed powder diffraction line list (Cu Ka), based on a cell relaxed with GGA-PBE.
Neutral-atom scattering factors, no anomalous dispersion.

Principal peaks in the range 10° ≤ 2θ ≤ 90°, most intense first:
Position (°2θ), I_rel
36.51, 100
29.20, 66
51.77, 47
44.18, 45
65.00, 17
53.41, 17
87.62, 16
79.27, 15
88.57, 14
70.36, 11

Atomic structure:
```
6
Lattice="3.5319 0.0000 0.0000 -1.7660 3.0588 0.0000 0.0000 0.0000 8.2878" Properties=species:S:1:pos:R:3 pbc="T T T"
Be 0.0000 2.0392 0.6682
Be 1.7660 1.0196 7.6197
Al 0.0000 2.0392 3.2040
Al 1.7660 1.0196 5.0838
P 0.0000 2.0392 6.7551
P 1.7660 1.0196 1.5327
```



BeAlP2W: computed powder diffraction line list (Cu Ka), based on a cell relaxed with GGA-PBE.
Neutral-atom scattering factors, no anomalous dispersion.

Principal peaks in the range 10° ≤ 2θ ≤ 90°, most intense first:
Position (°2θ), I_rel
20.25, 100
34.24, 65
27.31, 51
42.29, 30
41.18, 30
60.51, 27
56.35, 25
28.80, 24
46.30, 23
36.72, 21

Atomic structure:
```
5
Lattice="4.3845 0.0000 0.0000 0.0000 4.3845 0.0000 0.0000 0.0000 4.8945" Properties=species:S:1:pos:R:3 pbc="T T T"
Be 0.0000 0.0000 0.0000
Al 2.1922 2.1922 2.4473
P 0.0000 2.1922 2.4473
P 2.1922 0.0000 2.4473
W 2.1922 2.1922 0.0000
```



Pa2Be3AlPt4: computed powder diffraction line list (Cu Ka), based on a cell relaxed with GGA-PBE.
Neutral-atom scattering factors, no anomalous dispersion.

Principal peaks in the range 10° ≤ 2θ ≤ 90°, most intense first:
Position (°2θ), I_rel
36.38, 100
45.28, 46
32.84, 43
34.84, 42
28.46, 30
50.68, 29
26.52, 26
77.73, 23
70.28, 22
58.37, 20

Atomic structure:
```
10
Lattice="4.0057 0.0000 0.0000 0.0000 4.0057 0.0000 0.0000 0.0000 10.0844" Properties=species:S:1:pos:R:3 pbc="T T T"
Pa 0.0000 2.0028 2.4697
Pa 2.0028 0.0000 7.6147
Be 0.0000 2.0028 8.8515
Be 2.0028 0.0000 1.2329
Be 2.0028 2.0028 5.0422
Al 0.0000 0.0000 5.0422
Pt 0.0000 0.0000 0.0000
Pt 0.0000 2.0028 6.5275
Pt 2.0028 0.0000 3.5568
Pt 2.0028 2.0028 0.0000
```



BeAlPb: computed powder diffraction line list (Cu Ka), based on a cell relaxed with GGA-PBE.
Neutral-atom scattering factors, no anomalous dispersion.

Principal peaks in the range 10° ≤ 2θ ≤ 90°, most intense first:
Position (°2θ), I_rel
29.80, 100
33.29, 91
38.49, 41
25.26, 27
52.21, 27
50.56, 26
62.28, 23
33.90, 21
57.34, 18
61.89, 16

Atomic structure:
```
6
Lattice="3.6104 0.0000 0.0000 -1.8052 3.1267 0.0000 0.0000 0.0000 10.5759" Properties=species:S:1:pos:R:3 pbc="T T T"
Be 0.0000 2.0844 5.2518
Be 1.8052 1.0422 5.3241
Al 0.0000 0.0000 3.9219
Al 0.0000 0.0000 6.6540
Pb 0.0000 2.0844 1.4833
Pb 1.8052 1.0422 9.0927
```



PmBeAl2Pd4: computed powder diffraction line list (Cu Ka), based on a cell relaxed with GGA-PBE.
Neutral-atom scattering factors, no anomalous dispersion.

Principal peaks in the range 10° ≤ 2θ ≤ 90°, most intense first:
Position (°2θ), I_rel
42.64, 100
34.52, 90
29.89, 51
37.16, 47
55.97, 29
25.22, 24
72.83, 23
70.64, 23
46.01, 22
27.98, 18

Atomic structure:
```
8
Lattice="2.1205 1.2243 8.5752 -2.1205 1.2243 8.5752 0.0000 -2.4486 8.5752" Properties=species:S:1:pos:R:3 pbc="T T T"
Pm 0.0000 0.0000 0.0000
Be 0.0000 0.0000 12.8628
Al 0.0000 0.0000 6.0888
Al 0.0000 0.0000 19.6368
Pd 0.0000 0.0000 3.5010
Pd 0.0000 0.0000 10.4907
Pd 0.0000 0.0000 15.2349
Pd 0.0000 0.0000 22.2246
```



Pm2BeAlPd6: computed powder diffraction line list (Cu Ka), based on a cell relaxed with GGA-PBE.
Neutral-atom scattering factors, no anomalous dispersion.

Principal peaks in the range 10° ≤ 2θ ≤ 90°, most intense first:
Position (°2θ), I_rel
36.97, 100
40.35, 71
28.41, 59
36.36, 48
40.65, 38
29.42, 27
63.47, 22
71.54, 22
38.05, 21
56.51, 16

Atomic structure:
```
10
Lattice="5.0924 -2.9066 0.0000 5.0924 2.9066 0.0000 -3.5319 0.0000 6.2827" Properties=species:S:1:pos:R:3 pbc="T T T"
Pm 1.6202 0.0000 1.1381
Pm 5.0328 0.0000 5.1447
Be -1.7660 0.0000 3.1414
Al 5.0924 0.0000 0.0000
Pd 0.0600 0.0000 4.2978
Pd 2.4857 1.4055 4.4415
Pd 4.1673 1.4055 1.8413
Pd 2.4857 -1.4055 4.4415
Pd 4.1673 -1.4055 1.8413
Pd 6.5930 0.0000 1.9849
```